(1)
The following is a computed XRD peak list of ZnSe. It was derived from a structure optimized by DFT (PBE), using CuKα.
Intensities are scaled so that the largest is 100.

Atomic structure:
Cell lengths 4.0535, 4.0535, 6.6624 Å; angles 90.00, 90.00, 120.00 degrees
Space group P6_3mc (No. 186)
One atom of each set of equivalent atoms:
Zn: 0.3333 0.6667 0.0000 (multiplicity 2)
Se: 0.3333 0.6667 0.6262 (multiplicity 2)

Peak list (8 most intense, 10 to 80 degrees two-theta, in order of rising 2θ)
2theta	d [Å]	intensity
25.4	3.510	100
26.8	3.331	58
28.7	3.106	66
37.2	2.416	36
44.7	2.027	85
48.5	1.877	86
52.9	1.731	50
68.1	1.377	30

(2)
The following is a computed XRD peak list of Co3Bi3N5. It was derived from a structure optimized by DFT (PBE), using CuKα.
Intensities are scaled so that the largest is 100.

Atomic structure:
Cell lengths 5.585, 7.996, 8.242 Å; angles 105.39, 105.50, 102.81 degrees
Space group P-1 (No. 2)
One atom of each set of equivalent atoms:
Co: 0.017 0.180 0.488 (multiplicity 2)
Co: 0.126 0.467 0.223 (multiplicity 2)
Co: 0.324 0.521 0.883 (multiplicity 2)
Bi: 0.196 0.986 0.882 (multiplicity 2)
Bi: 0.343 0.851 0.262 (multiplicity 2)
Bi: 0.399 0.658 0.627 (multiplicity 2)
N: 0.028 0.344 0.705 (multiplicity 2)
N: 0.167 0.717 0.932 (multiplicity 2)
N: 0.206 0.367 0.414 (multiplicity 2)
N: 0.219 0.030 0.491 (multiplicity 2)
N: 0.371 0.513 0.124 (multiplicity 2)

Peak list (8 most intense, 10 to 80 degrees two-theta, in order of rising 2θ)
2theta	d [Å]	intensity
24.2	3.680	50
28.9	3.094	45
30.7	2.911	89
31.4	2.848	90
32.5	2.756	100
32.6	2.747	87
34.2	2.620	87
35.2	2.548	66

(3)
The following is a computed XRD peak list of Gd2ZnHg. It was derived from a structure optimized by DFT (PBE), using CuKα.
Intensities are scaled so that the largest is 100.

Atomic structure:
Cell lengths 7.367, 7.367, 7.367 Å; angles 90.00, 90.00, 90.00 degrees
Space group Fm-3m (No. 225)
One atom of each set of equivalent atoms:
Gd: 0.250 0.250 0.250 (multiplicity 8)
Zn: 0.000 0.000 0.000 (multiplicity 4)
Hg: 0.000 0.000 0.500 (multiplicity 4)

Peak list (8 most intense, 10 to 80 degrees two-theta, in order of rising 2θ)
2theta	d [Å]	intensity
20.9	4.253	11
34.4	2.604	100
40.6	2.221	6
49.5	1.842	18
54.3	1.690	3
61.7	1.504	37
72.6	1.302	11
76.5	1.245	2

(4)
The following is a computed XRD peak list of MgSn2O4. It was derived from a structure optimized by DFT (PBE), using CuKα.
Intensities are scaled so that the largest is 100.

Atomic structure:
Cell lengths 8.556, 3.103, 14.588 Å; angles 90.00, 90.00, 90.00 degrees
Space group Pnma (No. 62)
One atom of each set of equivalent atoms:
Mg: 0.204 0.250 0.220 (multiplicity 4)
Sn: 0.031 0.750 0.401 (multiplicity 4)
Sn: 0.077 0.750 0.905 (multiplicity 4)
O: 0.073 0.750 0.671 (multiplicity 4)
O: 0.082 0.750 0.155 (multiplicity 4)
O: 0.127 0.250 0.483 (multiplicity 4)
O: 0.235 0.750 0.322 (multiplicity 4)

Peak list (8 most intense, 10 to 80 degrees two-theta, in order of rising 2θ)
2theta	d [Å]	intensity
16.0	5.551	37
20.8	4.278	58
24.4	3.647	46
32.3	2.775	40
33.1	2.708	100
39.6	2.278	44
43.8	2.069	29
59.8	1.546	36

(5)
The following is a computed XRD peak list of RbCeS2. It was derived from a structure optimized by DFT (PBE), using CuKα.
Intensities are scaled so that the largest is 100.

Atomic structure:
Cell lengths 4.2517, 4.2517, 23.0529 Å; angles 90.00, 90.00, 120.00 degrees
Space group R-3m (No. 166, hexagonal axes)
One atom of each set of equivalent atoms:
Rb: 0.0000 0.0000 0.0000 (multiplicity 3)
Ce: 0.0000 0.0000 0.5000 (multiplicity 3)
S: 0.0000 0.0000 0.2319 (multiplicity 6)

Peak list (8 most intense, 10 to 80 degrees two-theta, in order of rising 2θ)
2theta	d [Å]	intensity
11.5	7.684	20
23.1	3.842	20
25.4	3.507	42
28.8	3.103	100
39.7	2.269	36
42.5	2.126	35
49.0	1.860	17
52.2	1.754	18

(6)
The following is a computed XRD peak list of Te2Mo3WSe6. It was derived from a structure optimized by DFT (PBE), using CuKα.
Intensities are scaled so that the largest is 100.

Atomic structure:
Cell lengths 3.3809, 3.3809, 38.4638 Å; angles 90.00, 90.00, 120.00 degrees
Space group P3m1 (No. 156)
One atom of each set of equivalent atoms:
Te: 0.0000 0.0000 0.0000 (multiplicity 1)
Te: 0.0000 0.0000 0.0977 (multiplicity 1)
Mo: 0.0000 0.0000 0.8610 (multiplicity 1)
Mo: 0.6667 0.3333 0.0488 (multiplicity 1)
Mo: 0.6667 0.3333 0.6731 (multiplicity 1)
W: 0.0000 0.0000 0.2367 (multiplicity 1)
Se: 0.0000 0.0000 0.6301 (multiplicity 1)
Se: 0.0000 0.0000 0.7162 (multiplicity 1)
Se: 0.6667 0.3333 0.1935 (multiplicity 1)
Se: 0.6667 0.3333 0.2799 (multiplicity 1)
Se: 0.6667 0.3333 0.8179 (multiplicity 1)
Se: 0.6667 0.3333 0.9040 (multiplicity 1)

Peak list (8 most intense, 10 to 80 degrees two-theta, in order of rising 2θ)
2theta	d [Å]	intensity
11.5	7.693	100
30.5	2.926	51
35.9	2.501	92
43.5	2.081	59
45.3	2.003	17
54.3	1.690	36
66.8	1.400	15
76.7	1.242	16

(7)
The following is a computed XRD peak list of Ce3Hf. It was derived from a structure optimized by DFT (PBE), using CuKα.
Intensities are scaled so that the largest is 100.

Atomic structure:
Cell lengths 4.690, 4.690, 9.398 Å; angles 90.00, 90.00, 90.00 degrees
Space group I4/mmm (No. 139)
One atom of each set of equivalent atoms:
Ce: 0.000 0.000 0.000 (multiplicity 2)
Ce: 0.000 0.500 0.250 (multiplicity 4)
Hf: 0.000 0.000 0.500 (multiplicity 2)

Peak list (7 most intense, 10 to 80 degrees two-theta, in order of rising 2θ)
2theta	d [Å]	intensity
21.2	4.196	1
33.1	2.709	100
38.4	2.346	50
55.4	1.659	35
66.0	1.416	14
66.1	1.414	27
69.4	1.355	12

(8)
The following is a computed XRD peak list of RbBaMg6. It was derived from a structure optimized by DFT (PBE), using CuKα.
Intensities are scaled so that the largest is 100.

Atomic structure:
Cell lengths 5.496, 7.406, 12.643 Å; angles 90.00, 90.00, 90.00 degrees
Space group Amm2 (No. 38)
One atom of each set of equivalent atoms:
Rb: 0.000 0.000 0.000 (multiplicity 2)
Ba: 0.500 0.000 0.819 (multiplicity 2)
Mg: 0.000 0.000 0.488 (multiplicity 2)
Mg: 0.000 0.225 0.240 (multiplicity 4)
Mg: 0.500 0.000 0.322 (multiplicity 2)
Mg: 0.500 0.217 0.574 (multiplicity 4)

Peak list (8 most intense, 10 to 80 degrees two-theta, in order of rising 2θ)
2theta	d [Å]	intensity
13.9	6.390	60
21.3	4.167	35
21.4	4.148	32
27.9	3.195	20
29.3	3.048	33
32.4	2.762	100
32.6	2.743	74
60.3	1.535	21